(1)
Diffraction record for Ca10Si3S3Cl2O24. The X-ray diffraction stick pattern is calculated, not measured: it uses a crystal structure in the Materials Project, relaxed with GGA-PBE and Cu Kα (weighted mean of Kα1 and Kα2).
Neutral-atom scattering factors, no anomalous dispersion.

Peak list (10 most intense, 5° ≤ 2θ ≤ 70°, in order of rising 2θ)
d [Å], I (rel.)
3.411, 16
2.913, 100
2.841, 70
2.803, 79
2.364, 15
2.342, 16
1.995, 42
1.879, 18
1.858, 47
1.705, 16

Structure:
```
Ca10Si3S3Cl2O24
1.0
9.8405 0.0000 0.0000
-4.9203 8.5222 0.0000
0.0000 0.0000 6.8219
Ca Si S Cl O
10 3 3 2 24
Direct
0.0000 0.0000 0.2238 Ca
0.0000 0.0000 0.7762 Ca
0.0637 0.6388 0.0000 Ca
0.0798 0.4193 0.5000 Ca
0.3395 0.9202 0.5000 Ca
0.3612 0.4249 0.0000 Ca
0.5751 0.9363 0.0000 Ca
0.5807 0.6605 0.5000 Ca
0.6667 0.3333 0.2307 Ca
0.6667 0.3333 0.7693 Ca
0.3627 0.0696 0.0000 Si
0.7068 0.6373 0.0000 Si
0.9304 0.2932 0.0000 Si
0.2999 0.2552 0.5000 S
0.7448 0.0447 0.5000 S
0.9553 0.7001 0.5000 S
0.3333 0.6667 0.2545 Cl
0.3333 0.6667 0.7455 Cl
0.0062 0.1780 0.0000 O
0.0596 0.7500 0.3249 O
0.0596 0.7500 0.6751 O
0.1718 0.9938 0.0000 O
0.2099 0.0782 0.5000 O
0.2500 0.3096 0.3249 O
0.2500 0.3096 0.6751 O
0.4258 0.0173 0.1949 O
0.4258 0.0173 0.8051 O
0.4615 0.2639 0.0000 O
0.4712 0.3142 0.5000 O
0.5915 0.5742 0.1949 O
0.5915 0.5742 0.8051 O
0.6858 0.1570 0.5000 O
0.6904 0.9404 0.3249 O
0.6904 0.9404 0.6751 O
0.7361 0.1976 0.0000 O
0.8024 0.5385 0.0000 O
0.8220 0.8282 0.0000 O
0.8430 0.5288 0.5000 O
0.8683 0.7901 0.5000 O
0.9218 0.1317 0.5000 O
0.9827 0.4085 0.1949 O
0.9827 0.4085 0.8051 O
```

---

(2)
Diffraction record for Ca10Si3S3Cl2O24. The X-ray diffraction stick pattern is calculated, not measured: it uses a crystal structure in the Materials Project, relaxed with GGA-PBE and Cu Kα (weighted mean of Kα1 and Kα2).
Neutral-atom scattering factors, no anomalous dispersion.

Peak list (10 most intense, 5° ≤ 2θ ≤ 70°, in order of rising 2θ)
d [Å], I (rel.)
3.414, 28
2.930, 58
2.904, 77
2.861, 40
2.841, 43
2.822, 43
2.808, 100
2.799, 53
1.856, 33
1.707, 36

Structure:
```
Ca10Si3S3Cl2O24
1.0
9.7744 0.0000 0.0000
0.0000 6.8280 0.0000
-4.8204 0.0000 8.5844
Ca Si S Cl O
10 3 3 2 24
Direct
0.0000 0.0000 0.0000 Ca
0.0089 0.5000 0.5285 Ca
0.2413 0.0000 0.5130 Ca
0.2547 0.5000 0.3064 Ca
0.3061 0.2401 0.9134 Ca
0.3061 0.7599 0.9134 Ca
0.6419 0.2449 0.5817 Ca
0.6419 0.7551 0.5817 Ca
0.7137 0.5000 0.0139 Ca
0.7546 0.0000 0.3079 Ca
0.3664 0.5000 0.6811 Si
0.3843 0.0000 0.2927 Si
0.9440 0.0000 0.6468 Si
0.0120 0.5000 0.8926 S
0.5616 0.5000 0.2269 S
0.6106 0.0000 0.8641 S
0.9732 0.2528 0.2557 Cl
0.9732 0.7472 0.2557 Cl
0.0632 0.3254 0.9947 O
0.0632 0.6746 0.9947 O
0.1002 0.5000 0.8031 O
0.1308 0.0000 0.7743 O
0.2491 0.3072 0.6261 O
0.2491 0.6928 0.6261 O
0.3037 0.0000 0.1019 O
0.3377 0.1911 0.3640 O
0.3377 0.8089 0.3640 O
0.3856 0.5000 0.1390 O
0.4530 0.5000 0.8751 O
0.4934 0.5000 0.6168 O
0.4981 0.0000 0.9255 O
0.5228 0.0000 0.6895 O
0.5785 0.0000 0.3889 O
0.6169 0.5000 0.3967 O
0.6200 0.3235 0.1817 O
0.6200 0.6765 0.1817 O
0.7117 0.1766 0.9192 O
0.7117 0.8234 0.9192 O
0.8386 0.0000 0.7375 O
0.8398 0.5000 0.7862 O
0.8872 0.1959 0.5327 O
0.8872 0.8041 0.5327 O
```

---

(3)
Diffraction record for Ca11Si4ClO18. The X-ray diffraction stick pattern is calculated, not measured: it uses a crystal structure in the Materials Project, relaxed with GGA-PBE and Cu Kα (weighted mean of Kα1 and Kα2).
Neutral-atom scattering factors, no anomalous dispersion.

Peak list (10 most intense, 5° ≤ 2θ ≤ 70°, in order of rising 2θ)
d [Å], I (rel.)
3.276, 23
2.864, 100
2.642, 24
2.363, 9
2.230, 10
1.868, 22
1.723, 9
1.704, 14
1.638, 10
1.565, 17

Structure:
```
Ca11Si4ClO18
1.0
-5.2837 5.2837 4.4598
5.2837 -5.2837 4.4598
5.2837 5.2837 -4.4598
Ca Si Cl O
11 4 1 18
Direct
0.0000 0.0000 0.0000 Ca
0.0000 0.5000 0.5000 Ca
0.0366 0.2932 0.7434 Ca
0.2932 0.0366 0.7434 Ca
0.2932 0.5498 0.2566 Ca
0.4502 0.7068 0.7434 Ca
0.5000 0.0000 0.5000 Ca
0.5498 0.2932 0.2566 Ca
0.7068 0.4502 0.7434 Ca
0.7068 0.9634 0.2566 Ca
0.9634 0.7068 0.2566 Ca
0.2113 0.2113 0.4226 Si
0.2113 0.7887 0.0000 Si
0.7887 0.2113 0.0000 Si
0.7887 0.7887 0.5774 Si
0.5000 0.5000 0.0000 Cl
0.0055 0.0055 0.7137 O
0.0055 0.2917 0.0000 O
0.1830 0.3650 0.5480 O
0.1830 0.6350 0.8180 O
0.2500 0.7500 0.5000 O
0.2917 0.0055 0.0000 O
0.2917 0.2917 0.2863 O
0.3650 0.1830 0.5480 O
0.3650 0.8170 0.1820 O
0.6350 0.1830 0.8180 O
0.6350 0.8170 0.4520 O
0.7083 0.7083 0.7137 O
0.7083 0.9945 0.0000 O
0.7500 0.2500 0.5000 O
0.8170 0.3650 0.1820 O
0.8170 0.6350 0.4520 O
0.9945 0.7083 0.0000 O
0.9945 0.9945 0.2863 O
```